The following is a calculated powder X-ray diffraction pattern of BeCu2. It was derived from a DFT-relaxed cell (PBE, Alexandria), using Cu Ka.

Largest 10 diffraction maxima, by angle, 10 to 80 degrees two-theta:
- (1 0 0), d 3.356, I = 20
- (1 0 1), d 2.767, I = 72
- (1 0 2), d 1.976, I = 100
- (1 1 0), d 1.938, I = 86
- (2 0 0), d 1.678, I = 3
- (2 0 1), d 1.587, I = 12
- (1 0 3), d 1.466, I = 9
- (2 0 2), d 1.384, I = 28
- (2 1 1), d 1.228, I = 10
- (0 0 4), d 1.223, I = 6

```
6
Lattice="3.8756 0.0000 0.0000 -1.9378 3.3564 0.0000 0.0000 0.0000 4.8908" Properties=species:S:1:pos:R:3 pbc="T T T"
Be 0.0000 2.2376 1.2227
Be 1.9378 1.1188 3.6681
Cu 0.0000 0.0000 0.0000
Cu 0.0000 0.0000 2.4454
Cu 0.0000 2.2376 3.6681
Cu 1.9378 1.1188 1.2227
```